# Y2Cd3Hg4
Simulated PXRD pattern, Cu Kα, 1.54184 Å. Input: a GGA-PBE-relaxed structure.
No peak broadening, texture or thermal motion is included.

Main lines, by angle (5° ≤ 2θ ≤ 70°):
- 2θ 18.55, 4.784 Å, rel. 24.2
- 2θ 23.75, 3.746 Å, rel. 23.2
- 2θ 31.83, 2.812 Å, rel. 48.4
- 2θ 32.51, 2.754 Å, rel. 49.9
- 2θ 33.35, 2.687 Å, rel. 25.0
- 2θ 33.85, 2.648 Å, rel. 45.8
- 2θ 35.76, 2.511 Å, rel. 27.4
- 2θ 36.03, 2.493 Å, rel. 100.0
- 2θ 38.34, 2.348 Å, rel. 42.6
- 2θ 43.23, 2.093 Å, rel. 43.1

Structure:
```
Y2Cd3Hg4
1.0
3.105 -8.513 0.000
3.105 8.513 0.000
0.000 0.000 8.360
Y Cd Hg
4 6 8
direct
0.101 0.899 0.906
0.399 0.601 0.406
0.601 0.399 0.594
0.899 0.101 0.094
0.000 0.000 0.500
0.020 0.480 0.750
0.480 0.020 0.250
0.500 0.500 0.000
0.520 0.980 0.750
0.980 0.520 0.250
0.169 0.831 0.539
0.191 0.309 0.750
0.309 0.191 0.250
0.331 0.669 0.039
0.669 0.331 0.961
0.691 0.809 0.750
0.809 0.691 0.250
0.831 0.169 0.461
```

***

# SnAuSe2
Simulated PXRD pattern, Cu Kα, 1.54184 Å. Input: a GGA-PBE-relaxed structure.
No peak broadening, texture or thermal motion is included.

Main lines, by angle (5° ≤ 2θ ≤ 70°):
- 2θ 16.23, 5.460 Å, rel. 70.3
- 2θ 17.02, 5.211 Å, rel. 49.0
- 2θ 19.73, 4.499 Å, rel. 95.2
- 2θ 24.71, 3.603 Å, rel. 29.6
- 2θ 26.40, 3.376 Å, rel. 35.2
- 2θ 27.84, 3.205 Å, rel. 100.0
- 2θ 31.36, 2.853 Å, rel. 62.1
- 2θ 31.58, 2.833 Å, rel. 81.9
- 2θ 34.30, 2.615 Å, rel. 67.9
- 2θ 44.75, 2.025 Å, rel. 75.3

Structure:
```
SnAuSe2
1.0
7.942 0.000 0.000
0.000 10.421 0.000
0.000 0.000 6.410
Sn Au Se
4 4 8
direct
0.102 0.107 0.000
0.398 0.607 0.500
0.602 0.393 0.000
0.898 0.893 0.500
0.151 0.465 0.915
0.349 0.965 0.415
0.651 0.035 0.915
0.849 0.535 0.415
0.075 0.690 0.371
0.105 0.108 0.423
0.395 0.608 0.923
0.425 0.190 0.871
0.575 0.810 0.371
0.605 0.392 0.423
0.895 0.892 0.923
0.925 0.310 0.871
```

***

# PaSiPbO5
Simulated PXRD pattern, Cu Kα, 1.54184 Å. Input: a GGA-PBE-relaxed structure.
No peak broadening, texture or thermal motion is included.

Main lines, by angle (5° ≤ 2θ ≤ 70°):
- 2θ 16.37, 5.414 Å, rel. 30.8
- 2θ 16.59, 5.345 Å, rel. 31.8
- 2θ 23.87, 3.728 Å, rel. 100.0
- 2θ 27.24, 3.274 Å, rel. 65.0
- 2θ 30.35, 2.945 Å, rel. 57.3
- 2θ 31.03, 2.882 Å, rel. 89.4
- 2θ 33.56, 2.670 Å, rel. 61.4
- 2θ 39.29, 2.293 Å, rel. 34.8
- 2θ 44.83, 2.022 Å, rel. 32.7
- 2θ 50.57, 1.805 Å, rel. 24.0

Structure:
```
PaSiPbO5
1.0
3.603 -4.815 0.000
3.603 4.815 0.000
-3.425 0.000 7.447
Pa Si Pb O
2 2 2 10
direct
0.000 0.000 0.000
0.000 0.000 0.500
0.313 0.687 0.750
0.687 0.313 0.250
0.330 0.670 0.250
0.670 0.330 0.750
0.079 0.921 0.250
0.114 0.693 0.859
0.237 0.404 0.610
0.307 0.886 0.641
0.404 0.237 0.110
0.596 0.763 0.890
0.693 0.114 0.359
0.763 0.596 0.390
0.886 0.307 0.141
0.921 0.079 0.750
```